Starting from a cell relaxed with GGA-PBE, the PXRD pattern of Mn6Al7 was simulated for Cu Ka.
Kinematic intensities with the Lorentz-polarization factor, no thermal factor.

Most intense lines, 2θ = 10–80°, in order of rising 2θ:
10.25°, rel. 13, hkl 0 0 3; 35.75°, rel. 77, hkl 1 1 0; 40.56°, rel. 44, hkl 1 0 10; 41.63°, rel. 100, hkl 1 1 6; 43.75°, rel. 39, hkl 0 1 11; 45.22°, rel. 17, hkl 2 0 5; 64.24°, rel. 12, hkl 3 0 0; 67.50°, rel. 16, hkl 2 1 10; 68.24°, rel. 15, hkl 3 0 6; 69.79°, rel. 18, hkl 1 2 11; 75.75°, rel. 22, hkl 2 2 0; 76.34°, rel. 15, hkl 2 0 17

Cell and atoms:
```
data_Mn6Al7
_cell_length_a 5.0227
_cell_length_b 5.0227
_cell_length_c 25.8779
_cell_angle_alpha 90.00
_cell_angle_beta 90.00
_cell_angle_gamma 120.00
_space_group_name_H-M_alt 'R -3 m'
_space_group_IT_number 166
_space_group_name_Hall '-R 3 2"'
loop_
_atom_site_label
_atom_site_type_symbol
_atom_site_fract_x
_atom_site_fract_y
_atom_site_fract_z
Mn1 Mn 0.0000 0.0000 0.0464
Mn2 Mn 0.0000 0.0000 0.1514
Mn3 Mn 0.0000 0.0000 0.3336
Al1 Al 0.0000 0.0000 0.5000
Al2 Al 0.0035 0.5018 0.9164
```